Record 1
Computed X-ray diffraction stick pattern
Compound: Ba2HfBO6
Radiation: a wavelength of 1.5418 Å
Structure: a cell relaxed with PBE

Structural model:
a = 5.8937 Å, b = 5.8937 Å, c = 4.9671 Å
α = 90.00°, β = 90.00°, γ = 120.00°
Space group P-3m1 (No. 164)
Inequivalent atoms, fractional coordinates:
Ba1 0.3333 0.6667 0.3217 [2 per cell]
Hf1 0.0000 0.0000 0.0000 [1 per cell]
B1 0.0000 0.0000 0.5000 [1 per cell]
O1 0.1431 0.2861 0.7070 [6 per cell]

Largest 6 diffraction maxima, by angle, 2θ = 15–90°:
hkl  d_spacing  2theta  intensity
0 1 1  3.560  25.0  100
1 1 0  2.947  30.3  68
2 0 1  2.270  39.7  50
1 0 2  2.233  40.4  30
1 2 1  1.798  50.8  30
0 2 2  1.780  51.3  24



Record 2
Computed X-ray diffraction stick pattern
Compound: BaHg2BS4
Radiation: a wavelength of 1.5418 Å
Structure: a cell relaxed with PBE

Structural model:
a = 9.710 Å, b = 9.849 Å, c = 7.839 Å
α = 90.00°, β = 90.00°, γ = 90.00°
Space group Fmm2 (No. 42)
Inequivalent atoms, fractional coordinates:
Ba1 0.000 0.000 0.000 [4 per cell]
Hg1 0.250 0.250 0.270 [8 per cell]
B1 0.000 0.000 0.503 [4 per cell]
S1 0.000 0.167 0.635 [8 per cell]
S2 0.168 0.000 0.367 [8 per cell]

Largest 6 diffraction maxima, by angle, 2θ = 15–90°:
hkl  d_spacing  2theta  intensity
2 2 0  3.457  25.8  96
0 2 2  3.067  29.1  89
2 0 2  3.050  29.3  100
2 4 2  1.916  47.5  50
4 2 2  1.903  47.8  49
2 2 4  1.705  53.8  40



Record 3
Computed X-ray diffraction stick pattern
Compound: Ba2B4Ir3
Radiation: a wavelength of 1.5418 Å
Structure: a cell relaxed with PBE

Structural model:
a = 5.841 Å, b = 9.824 Å, c = 12.116 Å
α = 90.00°, β = 90.00°, γ = 90.00°
Space group Fmmm (No. 69)
Inequivalent atoms, fractional coordinates:
Ba1 0.000 0.000 0.161 [8 per cell]
B1 0.000 0.169 0.393 [16 per cell]
Ir1 0.000 0.000 0.500 [4 per cell]
Ir2 0.250 0.250 0.000 [8 per cell]

Largest 6 diffraction maxima, by angle, 2θ = 15–90°:
hkl  d_spacing  2theta  intensity
1 1 3  3.147  28.4  100
2 2 0  2.510  35.8  91
0 4 0  2.456  36.6  43
1 3 3  2.332  38.6  48
2 2 2  2.319  38.8  44
2 2 6  1.573  58.7  46



Record 4
Computed X-ray diffraction stick pattern
Compound: BaZn2BIr2
Radiation: a wavelength of 1.5418 Å
Structure: a cell relaxed with PBE

Structural model:
a = 4.207 Å, b = 4.207 Å, c = 6.141 Å
α = 90.00°, β = 90.00°, γ = 90.00°
Space group P4/mmm (No. 123)
Inequivalent atoms, fractional coordinates:
Ba1 0.000 0.000 0.000 [1 per cell]
Zn1 0.500 0.500 0.238 [2 per cell]
B1 0.000 0.000 0.500 [1 per cell]
Ir1 0.000 0.500 0.500 [2 per cell]

Largest 6 diffraction maxima, by angle, 2θ = 15–90°:
hkl  d_spacing  2theta  intensity
1 1 1  2.677  33.5  100
1 0 2  2.480  36.2  24
1 1 2  2.137  42.3  29
2 0 0  2.103  43.0  42
1 1 3  1.686  54.4  21
3 1 1  1.300  72.7  22



Record 5
Computed X-ray diffraction stick pattern
Compound: K2BaBO4
Radiation: a wavelength of 1.5418 Å
Structure: a cell relaxed with PBE

Structural model:
a = 6.518 Å, b = 6.518 Å, c = 6.301 Å
α = 90.00°, β = 90.00°, γ = 90.00°
Space group I-42m (No. 121)
Inequivalent atoms, fractional coordinates:
K1 0.000 0.500 0.000 [4 per cell]
Ba1 0.000 0.000 0.000 [2 per cell]
B1 0.000 0.000 0.500 [2 per cell]
O1 0.136 0.136 0.366 [8 per cell]

Largest 6 diffraction maxima, by angle, 2θ = 15–90°:
hkl  d_spacing  2theta  intensity
1 0 1  4.530  19.6  78
2 0 0  3.259  27.4  100
0 0 2  3.150  28.3  46
2 1 1  2.645  33.9  88
2 0 2  2.265  39.8  77
2 2 2  1.860  49.0  43